KCr2Hg2O7: simulated PXRD pattern (Cu Kα (weighted mean of Kα1 and Kα2)), based on a PBE+U-relaxed structure.

Top 10 peaks for 5 to 70 degrees two-theta, by angle:
| two_theta | I/Imax |
| --- | --- |
| 10.87 | 100 |
| 25.61 | 74 |
| 31.26 | 60 |
| 33.19 | 56 |
| 34.51 | 28 |
| 38.46 | 29 |
| 40.83 | 16 |
| 52.31 | 17 |
| 55.62 | 23 |
| 65.18 | 16 |

```
data_KCr2Hg2O7
_symmetry_space_group_name_H-M 'R 3 2'
_symmetry_Int_Tables_number 155
_symmetry_space_group_name_Hall 'R 3 2"'
_cell_length_a 5.7230
_cell_length_b 5.7230
_cell_length_c 24.4169
_cell_angle_alpha 90.00
_cell_angle_beta 90.00
_cell_angle_gamma 120.00
loop_
_atom_site_label
_atom_site_type_symbol
_atom_site_fract_x
_atom_site_fract_y
_atom_site_fract_z
K1 K 0.0000 0.0000 0.0000
Cr1 Cr 0.0000 0.0000 0.4266
Hg1 Hg 0.0000 0.0000 0.1813
O1 O 0.0000 0.0000 0.5000
O2 O 0.0195 0.2804 0.4052
```